# 1
For K3Sn3Pt2, a DFT-relaxed cell (GGA-PBE, Alexandria) gives the calculated powder diffraction line list in this record (Cu Kα (λ = 1.5418 Å)).

Structure:
```
data_K3Sn3Pt2
_symmetry_space_group_name_H-M 'P n m a'
_symmetry_Int_Tables_number 62
_cell_length_a 8.8961
_cell_length_b 15.9552
_cell_length_c 6.7224
_cell_angle_alpha 90.00
_cell_angle_beta 90.00
_cell_angle_gamma 90.00
loop_
_symmetry_equiv_pos_as_xyz
'x,y,z'
'-x,-y,-z'
'-x+1/2,-y,z+1/2'
'x+1/2,y,-z+1/2'
'x+1/2,-y+1/2,-z+1/2'
'-x+1/2,y+1/2,z+1/2'
'-x,y+1/2,-z'
'x,-y+1/2,z'
loop_
_atom_site_label
_atom_site_fract_x
_atom_site_fract_y
_atom_site_fract_z
K1 0.0356 0.1136 0.1037
K2 0.2245 0.2500 0.5527
Sn1 0.1481 0.7500 0.5289
Sn2 0.1608 0.0389 0.6211
Pt1 0.1256 0.5957 0.3754
```

Principal peaks in the range 10° ≤ 2θ ≤ 90°, low angle first:
- (0 2 0), 2θ = 11.09°, 7.978 Å, I 48.0
- (1 0 1), 2θ = 16.53°, 5.363 Å, I 88.5
- (1 1 1), 2θ = 17.44°, 5.084 Å, I 34.4
- (2 1 0), 2θ = 20.73°, 4.285 Å, I 35.5
- (0 3 1), 2θ = 21.30°, 4.171 Å, I 65.3
- (3 0 1), 2θ = 33.00°, 2.714 Å, I 100.0
- (1 3 2), 2θ = 33.10°, 2.707 Å, I 72.1
- (1 4 2), 2θ = 36.38°, 2.469 Å, I 38.1
- (1 7 1), 2θ = 43.14°, 2.097 Å, I 41.2
- (2 7 0), 2θ = 44.67°, 2.029 Å, I 39.5

---

# 2
For HoZrRh, a DFT-relaxed cell (GGA-PBE, Alexandria) gives the calculated powder diffraction line list in this record (Cu Kα (λ = 1.5418 Å)).

Structure:
```
data_HoZrRh
_symmetry_space_group_name_H-M 'A m m 2'
_symmetry_Int_Tables_number 38
_cell_length_a 4.6846
_cell_length_b 12.1428
_cell_length_c 7.0150
_cell_angle_alpha 90.00
_cell_angle_beta 90.00
_cell_angle_gamma 90.00
loop_
_symmetry_equiv_pos_as_xyz
'x,y,z'
'-x,-y,z'
'-x,y,z'
'x,-y,z'
'x,y+1/2,z+1/2'
'-x,-y+1/2,z+1/2'
'-x,y+1/2,z+1/2'
'x,-y+1/2,z+1/2'
loop_
_atom_site_label
_atom_site_fract_x
_atom_site_fract_y
_atom_site_fract_z
Ho1 0.0000 0.0000 0.0000
Ho2 0.0000 0.2059 0.6176
Zr1 0.5000 0.0000 0.6685
Zr2 0.5000 0.1287 0.2834
Rh1 0.0000 0.0000 0.4099
Rh2 0.5000 0.1662 0.9119
```

Principal peaks in the range 10° ≤ 2θ ≤ 90°, low angle first:
- (1 3 1), 2θ = 31.88°, 2.807 Å, I 100.0
- (1 4 0), 2θ = 35.22°, 2.548 Å, I 93.8
- (2 0 0), 2θ = 38.43°, 2.342 Å, I 38.6
- (0 1 3), 2θ = 39.25°, 2.295 Å, I 33.0
- (1 4 2), 2θ = 43.92°, 2.061 Å, I 16.6
- (0 6 0), 2θ = 44.77°, 2.024 Å, I 25.1
- (2 1 3), 2θ = 56.10°, 1.639 Å, I 23.1
- (1 5 3), 2θ = 58.20°, 1.585 Å, I 17.0
- (2 6 0), 2θ = 60.44°, 1.532 Å, I 20.3
- (1 7 3), 2θ = 70.52°, 1.335 Å, I 23.1

---

# 3
For NbGeTePO, a DFT-relaxed cell (GGA-PBE, Alexandria) gives the calculated powder diffraction line list in this record (Cu Kα (λ = 1.5418 Å)).

Structure:
```
data_NbGeTePO
_symmetry_space_group_name_H-M 'P 1'
_symmetry_Int_Tables_number 1
_cell_length_a 3.6777
_cell_length_b 6.1465
_cell_length_c 6.2792
_cell_angle_alpha 118.05
_cell_angle_beta 94.22
_cell_angle_gamma 103.61
loop_
_symmetry_equiv_pos_as_xyz
'x,y,z'
loop_
_atom_site_label
_atom_site_fract_x
_atom_site_fract_y
_atom_site_fract_z
Nb1 0.0000 0.0000 0.0000
Ge1 0.6105 0.4653 0.5981
Te1 0.4783 0.0473 0.6777
P1 0.3812 0.7162 0.9928
O1 0.1652 0.2891 0.3173
```

Principal peaks in the range 10° ≤ 2θ ≤ 90°, low angle first:
- (0 0 1), 2θ = 16.38°, 5.413 Å, I 100.0
- (0 1 0), 2θ = 17.17°, 5.163 Å, I 84.2
- (1 0 -1), 2θ = 27.26°, 3.271 Å, I 74.6
- (1 -1 1), 2θ = 29.13°, 3.066 Å, I 40.1
- (0 1 1), 2θ = 29.30°, 3.048 Å, I 41.8
- (0 2 -1), 2θ = 29.93°, 2.986 Å, I 36.2
- (1 0 1), 2θ = 33.40°, 2.683 Å, I 53.8
- (1 -2 1), 2θ = 34.61°, 2.591 Å, I 54.0
- (0 2 0), 2θ = 34.75°, 2.582 Å, I 41.1
- (1 1 -2), 2θ = 37.39°, 2.405 Å, I 56.5

---

# 4
For Pm9Er4Pu, a DFT-relaxed cell (GGA-PBE, Alexandria) gives the calculated powder diffraction line list in this record (Cu Kα (λ = 1.5418 Å)).

Structure:
```
data_Pm9Er4Pu
_symmetry_space_group_name_H-M 'P 63/m m c'
_symmetry_Int_Tables_number 194
_symmetry_space_group_name_Hall '-P 6c 2c'
_cell_length_a 9.8479
_cell_length_b 9.8479
_cell_length_c 11.1749
_cell_angle_alpha 90.00
_cell_angle_beta 90.00
_cell_angle_gamma 120.00
loop_
_atom_site_label
_atom_site_fract_x
_atom_site_fract_y
_atom_site_fract_z
Pm1 0.0722 0.5361 0.2500
Pm2 0.2088 0.4175 0.5354
Er1 0.0000 0.0000 0.0000
Er2 0.1109 0.2218 0.2500
Pu1 0.3333 0.6667 0.7500
```

Principal peaks in the range 10° ≤ 2θ ≤ 90°, low angle first:
- (2 0 1), 2θ = 22.31°, 3.984 Å, I 10.1
- (2 0 3), 2θ = 31.90°, 2.805 Å, I 23.1
- (0 0 4), 2θ = 32.05°, 2.792 Å, I 100.0
- (3 0 1), 2θ = 32.50°, 2.755 Å, I 29.3
- (2 2 0), 2θ = 36.50°, 2.462 Å, I 10.1
- (2 2 4), 2θ = 49.33°, 1.847 Å, I 7.3
- (3 0 5), 2θ = 52.05°, 1.757 Å, I 18.2
- (3 3 0), 2θ = 56.03°, 1.641 Å, I 13.5
- (5 0 2), 2θ = 56.40°, 1.631 Å, I 14.8
- (3 3 4), 2θ = 65.99°, 1.416 Å, I 18.3

---

# 5
For Ba4Tl2F, a DFT-relaxed cell (GGA-PBE, Alexandria) gives the calculated powder diffraction line list in this record (Cu Kα (λ = 1.5418 Å)).

Structure:
```
data_Ba4Tl2F
_symmetry_space_group_name_H-M 'P 1 21/m 1'
_symmetry_Int_Tables_number 11
_cell_length_a 8.3423
_cell_length_b 8.2695
_cell_length_c 9.1485
_cell_angle_alpha 90.00
_cell_angle_beta 105.42
_cell_angle_gamma 90.00
loop_
_symmetry_equiv_pos_as_xyz
'x,y,z'
'-x,-y,-z'
'-x,y+1/2,-z'
'x,-y+1/2,z'
loop_
_atom_site_label
_atom_site_fract_x
_atom_site_fract_y
_atom_site_fract_z
Ba1 0.0089 0.0116 0.2493
Ba2 0.4086 0.2500 0.5921
Ba3 0.4299 0.2500 0.1207
Tl1 0.2283 0.7500 0.5462
Tl2 0.2419 0.7500 0.0703
F1 0.2332 0.2500 0.3051
```

Principal peaks in the range 10° ≤ 2θ ≤ 90°, low angle first:
- (1 1 0), 2θ = 15.37°, 5.765 Å, I 38.4
- (1 2 0), 2θ = 24.20°, 3.677 Å, I 47.0
- (1 0 2), 2θ = 25.49°, 3.495 Å, I 43.6
- (2 0 -2), 2θ = 25.71°, 3.465 Å, I 45.1
- (1 1 2), 2θ = 27.71°, 3.219 Å, I 44.3
- (2 1 -2), 2θ = 27.92°, 3.196 Å, I 43.6
- (1 2 -2), 2θ = 29.65°, 3.013 Å, I 100.0
- (2 2 0), 2θ = 31.02°, 2.883 Å, I 34.5
- (3 1 0), 2θ = 35.19°, 2.550 Å, I 34.0
- (1 0 -4), 2θ = 39.40°, 2.287 Å, I 27.7